Structure and computed powder diffractogram of TaAlCl (a DFT-relaxed cell (GGA-PBE, Alexandria); Cu Kα).
Peak positions follow from Bragg's law for the DFT cell and can differ from measured ones.

Main lines, by intensity (2θ = 10–90°):
2theta	I_rel
10.13	100
38.34	26
43.78	18
35.36	12
32.77	12
34.38	12
20.35	9
30.72	7
62.21	6
41.37	6

Atomic structure:
```
data_TaAlCl
_cell_length_a 2.906
_cell_length_b 5.466
_cell_length_c 17.460
_cell_angle_alpha 90.00
_cell_angle_beta 90.00
_cell_angle_gamma 90.00
_symmetry_space_group_name_H-M 'F m m 2'
_symmetry_Int_Tables_number 42
_symmetry_space_group_name_Hall 'F 2 -2'
loop_
_atom_site_label
_atom_site_fract_x
_atom_site_fract_y
_atom_site_fract_z
_atom_site_occupancy
Ta1 0.000 0.000 0.000 1
Al1 0.000 0.000 0.636 1
Cl1 0.000 0.000 0.386 1
```